Theoretical PXRD pattern
Compound: BaP6Pd2Au
Radiation: copper Kα
Structure: DFT lattice parameters and positions (GGA-PBE)
Kinematic intensities with the Lorentz-polarization factor, no thermal factor.

Peak list (8 most intense, 15° ≤ 2θ ≤ 90°, low angle first)
2theta, d_spacing, I (rel.)
17.29, 5.130, 30
18.36, 4.832, 13
22.17, 4.010, 100
29.51, 3.027, 60
33.47, 2.677, 25
37.22, 2.416, 23
48.20, 1.888, 42
54.93, 1.672, 20

Cell and atoms:
```
BaP6Pd2Au
1.0
3.027 1.747 8.303
-3.027 1.747 8.303
0.000 -3.495 8.303
Ba P Pd Au
1 6 2 1
direct
0.000 0.000 0.000 Ba
0.168 0.536 0.536 P
0.464 0.464 0.832 P
0.464 0.832 0.464 P
0.536 0.168 0.536 P
0.536 0.536 0.168 P
0.832 0.464 0.464 P
0.274 0.274 0.274 Pd
0.726 0.726 0.726 Pd
0.500 0.500 0.500 Au
```

***

Theoretical PXRD pattern
Compound: LiInSb
Radiation: copper Kα
Structure: DFT lattice parameters and positions (GGA-PBE)
Kinematic intensities with the Lorentz-polarization factor, no thermal factor.

Peak list (8 most intense, 15° ≤ 2θ ≤ 90°, low angle first)
2theta, d_spacing, I (rel.)
24.32, 3.659, 100
31.32, 2.856, 79
37.75, 2.383, 76
40.59, 2.222, 53
49.84, 1.830, 21
56.63, 1.625, 19
64.18, 1.451, 19
70.08, 1.343, 20

Cell and atoms:
```
LiInSb
1.0
4.766 0.000 0.000
-2.383 4.127 0.000
0.000 0.000 7.912
Li In Sb
2 2 2
direct
0.000 0.000 0.000 Li
0.333 0.667 0.208 Li
0.000 0.000 0.389 In
0.667 0.333 0.744 In
0.333 0.667 0.597 Sb
0.667 0.333 0.113 Sb
```

***

Theoretical PXRD pattern
Compound: Ac16Ni3Os5
Radiation: copper Kα
Structure: DFT lattice parameters and positions (GGA-PBE)
Kinematic intensities with the Lorentz-polarization factor, no thermal factor.

Peak list (8 most intense, 15° ≤ 2θ ≤ 90°, low angle first)
2theta, d_spacing, I (rel.)
25.54, 3.488, 23
27.07, 3.295, 100
27.22, 3.277, 49
30.69, 2.913, 47
30.82, 2.901, 23
40.35, 2.235, 35
41.76, 2.163, 24
42.07, 2.148, 46

Cell and atoms:
```
Ac16Ni3Os5
1.0
7.424 -4.326 0.000
7.424 4.326 0.000
-0.026 0.000 13.951
Ac Ni Os
16 3 5
direct
0.000 0.000 0.000 Ac
0.003 0.003 0.501 Ac
0.026 0.489 0.985 Ac
0.166 0.166 0.732 Ac
0.166 0.667 0.731 Ac
0.331 0.833 0.231 Ac
0.338 0.338 0.224 Ac
0.488 0.488 0.985 Ac
0.489 0.026 0.985 Ac
0.514 0.514 0.486 Ac
0.519 0.975 0.484 Ac
0.667 0.166 0.731 Ac
0.671 0.671 0.724 Ac
0.833 0.331 0.231 Ac
0.834 0.834 0.228 Ac
0.975 0.519 0.484 Ac
0.168 0.168 0.112 Ni
0.336 0.836 0.613 Ni
0.836 0.336 0.613 Ni
0.167 0.669 0.111 Os
0.329 0.329 0.842 Os
0.662 0.662 0.349 Os
0.669 0.167 0.111 Os
0.838 0.838 0.612 Os
```

***

Theoretical PXRD pattern
Compound: CaLaSb2
Radiation: copper Kα
Structure: DFT lattice parameters and positions (GGA-PBE)
Kinematic intensities with the Lorentz-polarization factor, no thermal factor.

Peak list (8 most intense, 15° ≤ 2θ ≤ 90°, low angle first)
2theta, d_spacing, I (rel.)
27.38, 3.257, 52
27.73, 3.217, 100
36.86, 2.439, 23
39.37, 2.288, 79
46.52, 1.952, 24
51.08, 1.788, 18
64.09, 1.453, 19
64.63, 1.442, 17

Cell and atoms:
```
CaLaSb2
1.0
4.279 0.000 0.000
0.000 4.877 0.000
0.000 0.000 6.514
Ca La Sb
1 1 2
direct
0.000 0.000 0.000 Ca
0.500 0.500 0.500 La
0.000 0.000 0.500 Sb
0.500 0.500 0.000 Sb
```

***

Theoretical PXRD pattern
Compound: CsAc3Te4
Radiation: copper Kα
Structure: DFT lattice parameters and positions (GGA-PBE)
Kinematic intensities with the Lorentz-polarization factor, no thermal factor.

Peak list (8 most intense, 15° ≤ 2θ ≤ 90°, low angle first)
2theta, d_spacing, I (rel.)
25.18, 3.537, 57
26.73, 3.335, 100
28.46, 3.137, 26
36.70, 2.449, 39
37.29, 2.411, 73
39.01, 2.309, 28
46.47, 1.954, 23
61.04, 1.518, 20

Cell and atoms:
```
CsAc3Te4
1.0
4.822 0.000 0.000
-2.411 4.176 0.000
0.000 0.000 33.253
Cs Ac Te
2 6 8
direct
0.333 0.667 0.250 Cs
0.667 0.333 0.750 Cs
0.000 0.000 0.000 Ac
0.000 0.000 0.500 Ac
0.333 0.667 0.614 Ac
0.333 0.667 0.886 Ac
0.667 0.333 0.114 Ac
0.667 0.333 0.386 Ac
0.000 0.000 0.169 Te
0.000 0.000 0.331 Te
0.000 0.000 0.669 Te
0.000 0.000 0.831 Te
0.333 0.667 0.057 Te
0.333 0.667 0.443 Te
0.667 0.333 0.557 Te
0.667 0.333 0.943 Te
```

***

Theoretical PXRD pattern
Compound: Pa2Zn5Cu5
Radiation: copper Kα
Structure: DFT lattice parameters and positions (GGA-PBE)
Kinematic intensities with the Lorentz-polarization factor, no thermal factor.

Peak list (8 most intense, 15° ≤ 2θ ≤ 90°, low angle first)
2theta, d_spacing, I (rel.)
29.28, 3.050, 100
35.16, 2.552, 35
40.70, 2.217, 38
41.23, 2.190, 50
41.37, 2.182, 97
42.98, 2.104, 38
60.67, 1.526, 23
67.12, 1.394, 22

Cell and atoms:
```
Pa2Zn5Cu5
1.0
4.209 0.000 0.000
0.000 5.128 0.000
0.000 0.000 8.828
Pa Zn Cu
2 5 5
direct
0.000 0.000 0.000 Pa
0.000 0.500 0.500 Pa
0.500 0.000 0.500 Zn
0.500 0.251 0.246 Zn
0.500 0.251 0.754 Zn
0.500 0.749 0.246 Zn
0.500 0.749 0.754 Zn
0.000 0.000 0.334 Cu
0.000 0.000 0.666 Cu
0.000 0.500 0.163 Cu
0.000 0.500 0.837 Cu
0.500 0.500 0.000 Cu
```

***

Theoretical PXRD pattern
Compound: Tm6ZnIn
Radiation: copper Kα
Structure: DFT lattice parameters and positions (GGA-PBE)
Kinematic intensities with the Lorentz-polarization factor, no thermal factor.

Peak list (8 most intense, 15° ≤ 2θ ≤ 90°, low angle first)
2theta, d_spacing, I (rel.)
27.37, 3.258, 8
32.51, 2.754, 100
36.30, 2.475, 40
40.42, 2.231, 11
52.27, 1.750, 14
55.44, 1.657, 18
62.92, 1.477, 30
68.09, 1.377, 10

Cell and atoms:
```
Tm6ZnIn
1.0
4.950 0.000 0.000
0.000 4.950 0.000
0.000 0.000 17.851
Tm Zn In
12 2 2
direct
0.000 0.000 0.249 Tm
0.000 0.000 0.751 Tm
0.000 0.500 0.111 Tm
0.000 0.500 0.389 Tm
0.000 0.500 0.611 Tm
0.000 0.500 0.889 Tm
0.500 0.000 0.111 Tm
0.500 0.000 0.389 Tm
0.500 0.000 0.611 Tm
0.500 0.000 0.889 Tm
0.500 0.500 0.251 Tm
0.500 0.500 0.749 Tm
0.000 0.000 0.000 Zn
0.500 0.500 0.500 Zn
0.000 0.000 0.500 In
0.500 0.500 0.000 In
```

***

Theoretical PXRD pattern
Compound: Ac2CeCo2
Radiation: copper Kα
Structure: DFT lattice parameters and positions (GGA-PBE)
Kinematic intensities with the Lorentz-polarization factor, no thermal factor.

Peak list (8 most intense, 15° ≤ 2θ ≤ 90°, low angle first)
2theta, d_spacing, I (rel.)
25.07, 3.552, 46
25.73, 3.463, 43
27.94, 3.193, 51
29.40, 3.038, 36
30.31, 2.949, 100
35.03, 2.562, 48
37.40, 2.404, 36
55.41, 1.658, 30

Cell and atoms:
```
Ac2CeCo2
1.0
6.161 -3.242 0.000
6.161 3.242 0.000
-3.573 0.000 7.103
Ac Ce Co
4 2 4
direct
0.022 0.288 0.231 Ac
0.288 0.022 0.731 Ac
0.712 0.978 0.269 Ac
0.978 0.712 0.769 Ac
0.376 0.624 0.250 Ce
0.624 0.376 0.750 Ce
0.262 0.580 0.453 Co
0.420 0.738 0.047 Co
0.580 0.262 0.953 Co
0.738 0.420 0.547 Co
```